No. 1
Rb4BiCl6: simulated X-ray diffraction stick pattern (Cu Kα, 1.54184 Å), based on the PBE geometry in Alexandria.

Principal peaks in the range 2θ = 10–90°, in order of falling intensity:
| Position (°2θ) | Rel. int. | (hkl) |
| --- | --- | --- |
| 13.6 | 100 | 1 0 1 |
| 30.8 | 87 | 3 1 0 |
| 29.1 | 82 | 2 1 2 |
| 27.4 | 50 | 2 2 0 |
| 50.5 | 41 | 3 1 4 |
| 23.7 | 37 | 1 1 2 |
| 46.3 | 32 | 3 3 2 |
| 44.1 | 23 | 4 2 0 |

Crystal structure
a = 9.178 Å, b = 9.178 Å, c = 9.233 Å
α = 90.00°, β = 90.00°, γ = 90.00°
Space group P4/mnc (No. 128)
Asymmetric unit:
Rb: 0.166 0.334 0.250 (multiplicity 8)
Bi: 0.000 0.000 0.000 (multiplicity 2)
Cl: 0.000 0.000 0.294 (multiplicity 4)
Cl: 0.108 0.682 0.000 (multiplicity 8)

***

No. 2
Rb3Bi2Cl9: simulated X-ray diffraction stick pattern (Cu Kα, 1.54184 Å), based on the PBE geometry in Alexandria.

Principal peaks in the range 2θ = 10–90°, in order of falling intensity:
| Position (°2θ) | Rel. int. | (hkl) |
| --- | --- | --- |
| 13.5 | 100 | 1 1 0 |
| 23.4 | 86 | 3 0 0 |
| 30.6 | 72 | 2 2 3 |
| 39.5 | 53 | 2 2 6 |
| 31.3 | 46 | 1 1 6 |
| 20.2 | 42 | 1 0 4 |
| 47.9 | 39 | 6 0 0 |
| 27.9 | 37 | 2 1 4 |

Crystal structure
a = 13.1584 Å, b = 13.1584 Å, c = 19.0361 Å
α = 90.00°, β = 90.00°, γ = 120.00°
Space group R-3c (No. 167, hexagonal axes)
Asymmetric unit:
Rb: 0.0000 0.3281 0.2500 (multiplicity 18)
Bi: 0.0000 0.0000 0.1492 (multiplicity 12)
Cl: 0.0000 0.1636 0.7500 (multiplicity 18)
Cl: 0.0071 0.1798 0.4149 (multiplicity 36)

***

No. 3
TiReBi2Cl: simulated X-ray diffraction stick pattern (Cu Kα, 1.54184 Å), based on the PBE geometry in Alexandria.

Principal peaks in the range 2θ = 10–90°, in order of falling intensity:
| Position (°2θ) | Rel. int. | (hkl) |
| --- | --- | --- |
| 31.0 | 100 | 1 1 1 |
| 32.7 | 59 | 2 0 0 |
| 57.4 | 36 | 3 1 1 |
| 54.1 | 29 | 2 0 2 |
| 47.0 | 22 | 2 2 0 |
| 64.7 | 17 | 2 2 2 |
| 26.3 | 17 | 1 0 1 |
| 41.8 | 15 | 0 0 2 |

Crystal structure
a = 5.473 Å, b = 5.473 Å, c = 4.321 Å
α = 90.00°, β = 90.00°, γ = 90.00°
Space group P4/mmm (No. 123)
Asymmetric unit:
Ti: 0.000 0.000 0.000 (multiplicity 1)
Re: 0.500 0.500 0.500 (multiplicity 1)
Bi: 0.000 0.500 0.000 (multiplicity 2)
Cl: 0.000 0.000 0.500 (multiplicity 1)

***

No. 4
Bi12Rh3Cl2: simulated X-ray diffraction stick pattern (Cu Kα, 1.54184 Å), based on the PBE geometry in Alexandria.

Principal peaks in the range 2θ = 10–90°, in order of falling intensity:
| Position (°2θ) | Rel. int. | (hkl) |
| --- | --- | --- |
| 32.4 | 100 | 1 5 5 |
| 26.5 | 50 | 2 2 0 |
| 31.4 | 48 | 2 2 6 |
| 11.9 | 38 | 0 2 2 |
| 33.4 | 34 | 0 0 12 |
| 29.7 | 33 | 0 2 10 |
| 42.0 | 31 | 1 7 5 |
| 37.2 | 29 | 2 0 10 |

Crystal structure
a = 7.334 Å, b = 16.796 Å, c = 32.210 Å
α = 90.00°, β = 90.00°, γ = 90.00°
Space group Fddd (No. 70, origin choice 2)
Asymmetric unit:
Bi: 0.005 0.254 0.073 (multiplicity 32)
Bi: 0.082 0.336 0.513 (multiplicity 32)
Bi: 0.088 0.322 0.928 (multiplicity 32)
Rh: 0.000 0.000 0.000 (multiplicity 16)
Rh: 0.125 0.125 0.125 (multiplicity 8)
Cl: 0.125 0.327 0.625 (multiplicity 16)

***

No. 5
VBiRhCl: simulated X-ray diffraction stick pattern (Cu Kα, 1.54184 Å), based on the PBE geometry in Alexandria.

Principal peaks in the range 2θ = 10–90°, in order of falling intensity:
| Position (°2θ) | Rel. int. | (hkl) |
| --- | --- | --- |
| 35.0 | 100 | 1 0 1 |
| 31.0 | 65 | 0 1 -2 |
| 39.6 | 40 | -1 1 2 |
| 28.7 | 39 | 0 0 3 |
| 19.0 | 32 | 0 0 2 |
| 28.2 | 29 | 0 1 -1 |
| 37.7 | 28 | 0 1 2 |
| 32.7 | 26 | 1 -1 0 |

Crystal structure
a = 3.047 Å, b = 3.534 Å, c = 9.533 Å
α = 100.51°, β = 90.18°, γ = 115.37°
Space group P1 (No. 1)
Asymmetric unit:
V: 0.000 0.000 0.000 (multiplicity 1)
Bi: 0.500 0.997 0.410 (multiplicity 1)
Rh: 0.797 0.593 0.156 (multiplicity 1)
Cl: 0.369 0.740 0.816 (multiplicity 1)

***

No. 6
Bi5S6Cl3: simulated X-ray diffraction stick pattern (Cu Kα, 1.54184 Å), based on the PBE geometry in Alexandria.

Principal peaks in the range 2θ = 10–90°, in order of falling intensity:
| Position (°2θ) | Rel. int. | (hkl) |
| --- | --- | --- |
| 23.4 | 100 | 2 -3 1 |
| 23.5 | 96 | -3 1 2 |
| 23.2 | 92 | 1 2 -3 |
| 31.7 | 87 | 3 -2 2 |
| 27.6 | 61 | 1 3 -1 |
| 26.1 | 60 | 0 3 0 |
| 22.9 | 53 | 0 1 2 |
| 38.8 | 35 | -3 4 2 |

Crystal structure
a = 12.257 Å, b = 12.396 Å, c = 12.428 Å
α = 109.55°, β = 108.81°, γ = 108.76°
Space group P1 (No. 1)
Asymmetric unit:
Bi: 0.000 0.000 0.000 (multiplicity 1)
Bi: 0.001 0.632 0.773 (multiplicity 1)
Bi: 0.020 0.749 0.240 (multiplicity 1)
Bi: 0.175 0.291 0.640 (multiplicity 1)
Bi: 0.209 0.670 0.519 (multiplicity 1)
Bi: 0.290 0.629 0.185 (multiplicity 1)
Bi: 0.313 0.211 0.966 (multiplicity 1)
Bi: 0.319 0.308 0.320 (multiplicity 1)
Bi: 0.323 0.948 0.120 (multiplicity 1)
Bi: 0.382 0.093 0.578 (multiplicity 1)
Bi: 0.489 0.649 0.972 (multiplicity 1)
Bi: 0.605 0.000 0.953 (multiplicity 1)
Bi: 0.632 0.541 0.276 (multiplicity 1)
Bi: 0.642 0.965 0.551 (multiplicity 1)
Bi: 0.659 0.675 0.649 (multiplicity 1)
Bi: 0.671 0.245 0.435 (multiplicity 1)
Bi: 0.705 0.428 0.918 (multiplicity 1)
Bi: 0.806 0.984 0.299 (multiplicity 1)
Bi: 0.907 0.347 0.214 (multiplicity 1)
Bi: 0.974 0.866 0.571 (multiplicity 1)
S: 0.052 0.989 0.444 (multiplicity 1)
S: 0.136 0.924 0.891 (multiplicity 1)
S: 0.148 0.716 0.061 (multiplicity 1)
S: 0.160 0.245 0.071 (multiplicity 1)
S: 0.164 0.471 0.313 (multiplicity 1)
S: 0.183 0.031 0.223 (multiplicity 1)
S: 0.275 0.799 0.392 (multiplicity 1)
S: 0.391 0.293 0.774 (multiplicity 1)
S: 0.411 0.472 0.078 (multiplicity 1)
S: 0.473 0.259 0.225 (multiplicity 1)
S: 0.478 0.038 0.388 (multiplicity 1)
S: 0.490 0.577 0.399 (multiplicity 1)
S: 0.492 0.798 0.182 (multiplicity 1)
S: 0.612 0.137 0.729 (multiplicity 1)
S: 0.681 0.118 0.216 (multiplicity 1)
S: 0.694 0.851 0.003 (multiplicity 1)
S: 0.719 0.630 0.101 (multiplicity 1)
S: 0.738 0.803 0.397 (multiplicity 1)
S: 0.811 0.607 0.567 (multiplicity 1)
S: 0.815 0.917 0.719 (multiplicity 1)
S: 0.821 0.135 0.526 (multiplicity 1)
S: 0.844 0.152 0.002 (multiplicity 1)
S: 0.939 0.486 0.084 (multiplicity 1)
S: 0.969 0.655 0.392 (multiplicity 1)
Cl: 0.013 0.197 0.335 (multiplicity 1)
Cl: 0.016 0.479 0.557 (multiplicity 1)
Cl: 0.083 0.151 0.761 (multiplicity 1)
Cl: 0.188 0.472 0.842 (multiplicity 1)
Cl: 0.282 0.958 0.693 (multiplicity 1)
Cl: 0.334 0.492 0.632 (multiplicity 1)
Cl: 0.344 0.782 0.877 (multiplicity 1)
Cl: 0.495 0.810 0.671 (multiplicity 1)
Cl: 0.520 0.345 0.557 (multiplicity 1)
Cl: 0.617 0.295 0.032 (multiplicity 1)
Cl: 0.845 0.405 0.742 (multiplicity 1)
Cl: 0.858 0.696 0.895 (multiplicity 1)

***

No. 7
Bi3S3Cl: simulated X-ray diffraction stick pattern (Cu Kα, 1.54184 Å), based on the PBE geometry in Alexandria.

Principal peaks in the range 2θ = 10–90°, in order of falling intensity:
| Position (°2θ) | Rel. int. | (hkl) |
| --- | --- | --- |
| 24.9 | 100 | 2 -1 3 |
| 36.0 | 43 | 3 0 0 |
| 35.1 | 42 | 1 1 6 |
| 20.5 | 39 | 1 1 0 |
| 46.3 | 27 | 0 3 6 |
| 28.2 | 22 | 0 0 6 |
| 44.3 | 20 | 2 2 3 |
| 47.9 | 19 | 2 -1 9 |

Crystal structure
a = 8.6493 Å, b = 8.6493 Å, c = 19.0097 Å
α = 90.00°, β = 90.00°, γ = 120.00°
Space group R-3 (No. 148, hexagonal axes)
Asymmetric unit:
Bi: 0.0175 0.3714 0.0949 (multiplicity 18)
S: 0.0140 0.2818 0.6126 (multiplicity 18)
Cl: 0.0000 0.0000 0.1767 (multiplicity 6)

***

No. 8
Bi2Sb2Cl: simulated X-ray diffraction stick pattern (Cu Kα, 1.54184 Å), based on the PBE geometry in Alexandria.

Principal peaks in the range 2θ = 10–90°, in order of falling intensity:
| Position (°2θ) | Rel. int. | (hkl) |
| --- | --- | --- |
| 26.5 | 100 | 1 1 1 |
| 15.5 | 98 | 0 1 -1 |
| 34.5 | 76 | 1 2 -2 |
| 11.7 | 69 | 0 0 1 |
| 28.5 | 61 | -2 1 1 |
| 24.3 | 60 | 1 -2 0 |
| 30.9 | 58 | 1 0 2 |
| 36.8 | 51 | 1 -3 1 |

Crystal structure
a = 6.492 Å, b = 7.844 Å, c = 7.893 Å
α = 93.08°, β = 104.35°, γ = 103.31°
Space group P-1 (No. 2)
Asymmetric unit:
Bi: 0.180 0.044 0.406 (multiplicity 2)
Bi: 0.221 0.506 0.803 (multiplicity 2)
Sb: 0.220 0.677 0.443 (multiplicity 2)
Sb: 0.465 0.226 0.757 (multiplicity 2)
Cl: 0.126 0.291 0.051 (multiplicity 2)

***

No. 9
Sr4BiSbCl2: simulated X-ray diffraction stick pattern (Cu Kα, 1.54184 Å), based on the PBE geometry in Alexandria.

Principal peaks in the range 2θ = 10–90°, in order of falling intensity:
| Position (°2θ) | Rel. int. | (hkl) |
| --- | --- | --- |
| 27.0 | 100 | 1 1 1 |
| 39.7 | 38 | 2 0 2 |
| 37.4 | 29 | 1 1 -3 |
| 12.2 | 27 | 1 0 0 |
| 21.7 | 17 | 0 1 1 |
| 46.8 | 15 | 2 2 -2 |
| 37.5 | 14 | 0 2 0 |
| 64.5 | 11 | 3 1 3 |

Crystal structure
a = 7.747 Å, b = 4.797 Å, c = 8.347 Å
α = 90.00°, β = 111.11°, γ = 90.00°
Space group P2/m (No. 10)
Asymmetric unit:
Sr: 0.238 0.000 0.244 (multiplicity 2)
Sr: 0.239 0.500 0.750 (multiplicity 2)
Bi: 0.000 0.000 0.500 (multiplicity 1)
Sb: 0.000 0.500 0.000 (multiplicity 1)
Cl: 0.500 0.000 0.000 (multiplicity 1)
Cl: 0.500 0.500 0.500 (multiplicity 1)

***

No. 10
BiSeCl3: simulated X-ray diffraction stick pattern (Cu Kα, 1.54184 Å), based on the PBE geometry in Alexandria.

Principal peaks in the range 2θ = 10–90°, in order of falling intensity:
| Position (°2θ) | Rel. int. | (hkl) |
| --- | --- | --- |
| 11.6 | 100 | 0 1 1 |
| 15.7 | 55 | 1 0 0 |
| 20.5 | 53 | 1 1 1 |
| 29.5 | 31 | 1 2 -3 |
| 33.2 | 23 | 2 1 -2 |
| 25.0 | 22 | 0 0 4 |
| 34.9 | 18 | 1 3 1 |
| 30.2 | 18 | 0 3 1 |

Crystal structure
a = 5.757 Å, b = 9.063 Å, c = 14.554 Å
α = 90.00°, β = 101.80°, γ = 90.00°
Space group P2/c (No. 13)
Asymmetric unit:
Bi: 0.119 0.132 0.122 (multiplicity 4)
Se: 0.002 0.426 0.173 (multiplicity 4)
Cl: 0.158 0.167 0.544 (multiplicity 4)
Cl: 0.282 0.048 0.318 (multiplicity 4)
Cl: 0.358 0.378 0.084 (multiplicity 4)

***

No. 11
TlSnBiCl6: simulated X-ray diffraction stick pattern (Cu Kα, 1.54184 Å), based on the PBE geometry in Alexandria.

Principal peaks in the range 2θ = 10–90°, in order of falling intensity:
| Position (°2θ) | Rel. int. | (hkl) |
| --- | --- | --- |
| 18.1 | 100 | 1 1 0 |
| 35.6 | 82 | 2 1 3 |
| 24.2 | 71 | 1 0 3 |
| 44.4 | 31 | 3 0 3 |
| 36.6 | 26 | 2 2 0 |
| 41.1 | 19 | 3 1 0 |
| 45.8 | 19 | 1 1 6 |
| 25.7 | 17 | 2 0 0 |

Crystal structure
a = 6.939 Å, b = 6.939 Å, c = 13.008 Å
α = 90.00°, β = 90.00°, γ = 90.00°
Space group P4_2nm (No. 102)
Asymmetric unit:
Tl: 0.000 0.000 0.000 (multiplicity 2)
Sn: 0.000 0.000 0.670 (multiplicity 2)
Bi: 0.000 0.000 0.333 (multiplicity 2)
Cl: 0.177 0.177 0.500 (multiplicity 4)
Cl: 0.207 0.207 0.192 (multiplicity 4)
Cl: 0.222 0.222 0.820 (multiplicity 4)